# 1
This entry pairs a crystal structure of Ce2Al12Pt7 with its theoretical powder diffraction line list. Radiation: a wavelength of 1.5418 Å. Structure: DFT lattice parameters and positions (GGA-PBE).
Lines closer than 0.1° are merged.

Structure:
```
Ce2Al12Pt7
1.0
10.002 0.000 0.000
-5.001 8.662 0.000
0.000 0.000 4.188
Ce Al Pt
2 12 7
Direct
0.000 0.000 0.000
0.333 0.667 0.500
0.025 0.282 0.500
0.133 0.744 0.000
0.256 0.389 0.000
0.256 0.975 0.500
0.377 0.196 0.000
0.537 0.419 0.500
0.581 0.117 0.500
0.611 0.867 0.000
0.718 0.744 0.500
0.804 0.180 0.000
0.820 0.623 0.000
0.883 0.463 0.500
0.038 0.449 0.000
0.247 0.231 0.500
0.411 0.962 0.000
0.551 0.589 0.000
0.667 0.333 0.000
0.769 0.016 0.500
0.984 0.753 0.500
```

Principal peaks in the range 15° ≤ 2θ ≤ 90°, in order of rising 2θ:
27.24 deg, 3.274 Å, rel. 100
27.78 deg, 3.211 Å, rel. 65
29.67 deg, 3.011 Å, rel. 87
30.97 deg, 2.887 Å, rel. 27
34.78 deg, 2.579 Å, rel. 74
43.20 deg, 2.094 Å, rel. 38
43.42 deg, 2.084 Å, rel. 53
48.14 deg, 1.890 Å, rel. 34
50.86 deg, 1.795 Å, rel. 41
51.82 deg, 1.764 Å, rel. 35



# 2
This entry pairs a crystal structure of Pm2Nd2Sm4Mg with its theoretical powder diffraction line list. Radiation: a wavelength of 1.5418 Å. Structure: DFT lattice parameters and positions (GGA-PBE).
Lines closer than 0.1° are merged.

Structure:
```
Pm2Nd2Sm4Mg
1.0
6.553 0.000 0.000
0.490 6.539 0.000
2.023 1.852 7.120
Pm Nd Sm Mg
2 2 4 1
Direct
0.207 0.370 0.110
0.793 0.630 0.890
0.370 0.815 0.218
0.630 0.185 0.782
0.175 0.327 0.596
0.332 0.792 0.694
0.668 0.208 0.306
0.825 0.673 0.404
0.000 0.000 0.000
```

Principal peaks in the range 15° ≤ 2θ ≤ 90°, in order of rising 2θ:
25.41 deg, 3.505 Å, rel. 37
25.76 deg, 3.458 Å, rel. 29
28.23 deg, 3.162 Å, rel. 65
31.56 deg, 2.835 Å, rel. 92
31.72 deg, 2.821 Å, rel. 100
31.85 deg, 2.810 Å, rel. 90
32.13 deg, 2.785 Å, rel. 86
32.80 deg, 2.731 Å, rel. 68
33.01 deg, 2.714 Å, rel. 59
47.72 deg, 1.906 Å, rel. 24



# 3
This entry pairs a crystal structure of DyUB4 with its theoretical powder diffraction line list. Radiation: a wavelength of 1.5418 Å. Structure: DFT lattice parameters and positions (GGA-PBE).
Lines closer than 0.1° are merged.

Structure:
```
DyUB4
1.0
6.119 0.000 0.000
0.000 11.990 0.000
0.000 0.000 4.030
Dy U B
4 4 16
Direct
0.125 0.158 0.000
0.375 0.658 0.000
0.625 0.342 0.000
0.875 0.842 0.000
0.126 0.422 0.000
0.374 0.922 0.000
0.626 0.078 0.000
0.874 0.578 0.000
0.013 0.695 0.500
0.122 0.552 0.500
0.128 0.968 0.500
0.199 0.812 0.500
0.301 0.312 0.500
0.372 0.468 0.500
0.378 0.052 0.500
0.487 0.195 0.500
0.513 0.805 0.500
0.622 0.948 0.500
0.628 0.532 0.500
0.699 0.688 0.500
0.801 0.188 0.500
0.872 0.032 0.500
0.878 0.448 0.500
0.987 0.305 0.500
```

Principal peaks in the range 15° ≤ 2θ ≤ 90°, in order of rising 2θ:
16.26 deg, 5.450 Å, rel. 21
22.06 deg, 4.030 Å, rel. 100
26.64 deg, 3.346 Å, rel. 19
30.15 deg, 2.964 Å, rel. 41
33.28 deg, 2.692 Å, rel. 30
37.00 deg, 2.429 Å, rel. 27
37.67 deg, 2.388 Å, rel. 54
40.29 deg, 2.238 Å, rel. 42
43.50 deg, 2.081 Å, rel. 39
45.00 deg, 2.015 Å, rel. 24



# 4
This entry pairs a crystal structure of Ca2Mg3In4 with its theoretical powder diffraction line list. Radiation: a wavelength of 1.5418 Å. Structure: DFT lattice parameters and positions (GGA-PBE).
Lines closer than 0.1° are merged.

Structure:
```
Ca2Mg3In4
1.0
3.211 -8.935 0.000
3.211 8.935 0.000
0.000 0.000 8.330
Ca Mg In
4 6 8
Direct
0.099 0.901 0.894
0.401 0.599 0.394
0.599 0.401 0.606
0.901 0.099 0.106
0.000 0.000 0.500
0.012 0.488 0.750
0.488 0.012 0.250
0.500 0.500 0.000
0.512 0.988 0.750
0.988 0.512 0.250
0.168 0.832 0.517
0.182 0.318 0.750
0.318 0.182 0.250
0.332 0.668 0.017
0.668 0.332 0.983
0.682 0.818 0.750
0.818 0.682 0.250
0.832 0.168 0.483
```

Principal peaks in the range 15° ≤ 2θ ≤ 90°, in order of rising 2θ:
22.59 deg, 3.937 Å, rel. 42
22.99 deg, 3.868 Å, rel. 67
23.57 deg, 3.775 Å, rel. 31
30.57 deg, 2.924 Å, rel. 44
31.50 deg, 2.840 Å, rel. 57
33.81 deg, 2.652 Å, rel. 37
35.30 deg, 2.543 Å, rel. 100
37.11 deg, 2.423 Å, rel. 64
41.35 deg, 2.183 Å, rel. 38
61.54 deg, 1.507 Å, rel. 35



# 5
This entry pairs a crystal structure of LiHg2F8 with its theoretical powder diffraction line list. Radiation: a wavelength of 1.5418 Å. Structure: DFT lattice parameters and positions (GGA-PBE).
Lines closer than 0.1° are merged.

Structure:
```
LiHg2F8
1.0
4.395 0.000 0.000
1.448 6.177 0.000
0.513 2.548 5.897
Li Hg F
1 2 8
Direct
0.000 0.000 0.000
0.371 0.370 0.300
0.753 0.669 0.588
0.265 0.177 0.062
0.278 0.627 0.542
0.282 0.691 0.020
0.420 0.080 0.611
0.723 0.949 0.264
0.834 0.361 0.889
0.850 0.407 0.347
0.852 0.896 0.791
```

Principal peaks in the range 15° ≤ 2θ ≤ 90°, in order of rising 2θ:
15.02 deg, 5.897 Å, rel. 97
15.63 deg, 5.670 Å, rel. 80
24.23 deg, 3.673 Å, rel. 100
25.55 deg, 3.487 Å, rel. 86
25.76 deg, 3.459 Å, rel. 95
28.03 deg, 3.183 Å, rel. 48
28.71 deg, 3.109 Å, rel. 50
29.03 deg, 3.075 Å, rel. 47
34.09 deg, 2.630 Å, rel. 63
42.25 deg, 2.139 Å, rel. 53



# 6
This entry pairs a crystal structure of Li12Zn with its theoretical powder diffraction line list. Radiation: a wavelength of 1.5418 Å. Structure: DFT lattice parameters and positions (GGA-PBE).
Lines closer than 0.1° are merged.

Structure:
```
Li12Zn
1.0
-3.964 3.964 3.964
3.964 -3.964 3.964
3.964 3.964 -3.964
Li Zn
12 1
Direct
0.139 0.314 0.826
0.174 0.488 0.314
0.174 0.861 0.686
0.314 0.174 0.488
0.314 0.826 0.139
0.488 0.314 0.174
0.512 0.686 0.826
0.686 0.174 0.861
0.686 0.826 0.512
0.826 0.139 0.314
0.826 0.512 0.686
0.861 0.686 0.174
0.000 0.000 0.000
```

Principal peaks in the range 15° ≤ 2θ ≤ 90°, in order of rising 2θ:
15.81 deg, 5.606 Å, rel. 100
22.43 deg, 3.964 Å, rel. 20
27.56 deg, 3.237 Å, rel. 49
31.93 deg, 2.803 Å, rel. 11
35.81 deg, 2.507 Å, rel. 40
39.37 deg, 2.289 Å, rel. 13
42.67 deg, 2.119 Å, rel. 46
48.73 deg, 1.869 Å, rel. 14
59.44 deg, 1.555 Å, rel. 20
73.65 deg, 1.286 Å, rel. 13



# 7
This entry pairs a crystal structure of TaTiOsPdPb with its theoretical powder diffraction line list. Radiation: a wavelength of 1.5418 Å. Structure: DFT lattice parameters and positions (GGA-PBE).
Lines closer than 0.1° are merged.

Structure:
```
TaTiOsPdPb
1.0
3.074 0.000 0.000
0.000 3.074 0.000
0.000 0.000 19.181
Ta Ti Os Pd Pb
2 2 2 2 2
Direct
0.000 0.000 0.000
0.500 0.500 0.500
0.000 0.000 0.831
0.500 0.500 0.331
0.000 0.000 0.411
0.500 0.500 0.911
0.000 0.000 0.593
0.500 0.500 0.093
0.000 0.000 0.209
0.500 0.500 0.709
```

Principal peaks in the range 15° ≤ 2θ ≤ 90°, in order of rising 2θ:
18.50 deg, 4.795 Å, rel. 13
29.43 deg, 3.035 Å, rel. 14
37.49 deg, 2.399 Å, rel. 100
41.55 deg, 2.174 Å, rel. 40
47.40 deg, 1.918 Å, rel. 10
52.23 deg, 1.751 Å, rel. 6
60.21 deg, 1.537 Å, rel. 14
64.83 deg, 1.438 Å, rel. 16
73.13 deg, 1.294 Å, rel. 29
80.00 deg, 1.199 Å, rel. 9



# 8
This entry pairs a crystal structure of Ac6Si2PdCl3 with its theoretical powder diffraction line list. Radiation: a wavelength of 1.5418 Å. Structure: DFT lattice parameters and positions (GGA-PBE).
Lines closer than 0.1° are merged.

Structure:
```
Ac6Si2PdCl3
1.0
9.615 -2.258 0.000
9.615 2.258 0.000
-1.641 0.000 8.867
Ac Si Pd Cl
6 2 1 3
Direct
0.002 0.002 0.240
0.330 0.330 0.425
0.342 0.342 0.900
0.658 0.658 0.100
0.670 0.670 0.575
0.998 0.998 0.760
0.164 0.164 0.338
0.836 0.836 0.662
0.500 0.500 0.000
0.175 0.175 0.843
0.500 0.500 0.500
0.825 0.825 0.157
```

Principal peaks in the range 15° ≤ 2θ ≤ 90°, in order of rising 2θ:
23.67 deg, 3.760 Å, rel. 32
24.24 deg, 3.671 Å, rel. 60
24.91 deg, 3.575 Å, rel. 26
27.98 deg, 3.189 Å, rel. 100
28.32 deg, 3.151 Å, rel. 48
39.44 deg, 2.285 Å, rel. 41
39.92 deg, 2.258 Å, rel. 20
40.05 deg, 2.251 Å, rel. 18
41.02 deg, 2.200 Å, rel. 33
49.67 deg, 1.836 Å, rel. 21



# 9
This entry pairs a crystal structure of Pa4GeAsP2 with its theoretical powder diffraction line list. Radiation: a wavelength of 1.5418 Å. Structure: DFT lattice parameters and positions (GGA-PBE).
Lines closer than 0.1° are merged.

Structure:
```
Pa4GeAsP2
1.0
6.978 0.000 0.000
0.000 4.033 0.000
-2.329 0.000 6.634
Pa Ge As P
4 1 1 2
Direct
0.245 0.000 0.237
0.254 0.500 0.763
0.746 0.500 0.237
0.755 0.000 0.763
0.000 0.000 0.500
0.500 0.500 0.500
0.000 0.500 0.000
0.500 0.000 0.000
```

Principal peaks in the range 15° ≤ 2θ ≤ 90°, in order of rising 2θ:
26.88 deg, 3.317 Å, rel. 18
27.07 deg, 3.294 Å, rel. 54
31.30 deg, 2.858 Å, rel. 100
44.73 deg, 2.026 Å, rel. 37
44.98 deg, 2.016 Å, rel. 38
53.18 deg, 1.722 Å, rel. 18
55.82 deg, 1.647 Å, rel. 20
74.02 deg, 1.281 Å, rel. 16
74.38 deg, 1.275 Å, rel. 17
82.81 deg, 1.166 Å, rel. 13



# 10
This entry pairs a crystal structure of Nd4Cu3Bi8 with its theoretical powder diffraction line list. Radiation: a wavelength of 1.5418 Å. Structure: DFT lattice parameters and positions (GGA-PBE).
Lines closer than 0.1° are merged.

Structure:
```
Nd4Cu3Bi8
1.0
4.602 0.000 0.000
0.000 4.602 0.000
0.000 0.000 19.561
Nd Cu Bi
4 3 8
Direct
0.000 0.500 0.114
0.000 0.500 0.620
0.500 0.000 0.380
0.500 0.000 0.886
0.000 0.000 0.000
0.000 0.000 0.500
0.500 0.500 0.500
0.000 0.000 0.247
0.000 0.000 0.753
0.000 0.500 0.419
0.000 0.500 0.927
0.500 0.000 0.073
0.500 0.000 0.581
0.500 0.500 0.248
0.500 0.500 0.752
```

Principal peaks in the range 15° ≤ 2θ ≤ 90°, in order of rising 2θ:
26.60 deg, 3.351 Å, rel. 21
27.36 deg, 3.260 Å, rel. 31
28.92 deg, 3.088 Å, rel. 52
33.07 deg, 2.709 Å, rel. 100
33.69 deg, 2.660 Å, rel. 15
39.15 deg, 2.301 Å, rel. 55
48.42 deg, 1.880 Å, rel. 25
50.71 deg, 1.800 Å, rel. 14
56.56 deg, 1.627 Å, rel. 18
67.10 deg, 1.395 Å, rel. 26



# 11
This entry pairs a crystal structure of UBr4 with its theoretical powder diffraction line list. Radiation: a wavelength of 1.5418 Å. Structure: DFT lattice parameters and positions (GGA-PBE).
Lines closer than 0.1° are merged.

Structure:
```
UBr4
1.0
5.664 -4.443 0.000
5.664 4.443 0.000
-0.338 0.000 7.708
U Br
2 8
Direct
0.196 0.196 0.442
0.804 0.804 0.558
0.048 0.048 0.730
0.169 0.550 0.647
0.323 0.323 0.161
0.450 0.831 0.353
0.550 0.169 0.647
0.677 0.677 0.839
0.831 0.450 0.353
0.952 0.952 0.270
```

Principal peaks in the range 15° ≤ 2θ ≤ 90°, in order of rising 2θ:
15.66 deg, 5.658 Å, rel. 61
17.36 deg, 5.109 Å, rel. 63
19.05 deg, 4.660 Å, rel. 56
19.99 deg, 4.443 Å, rel. 72
27.42 deg, 3.252 Å, rel. 100
28.33 deg, 3.151 Å, rel. 59
28.62 deg, 3.119 Å, rel. 96
33.49 deg, 2.676 Å, rel. 72
35.49 deg, 2.530 Å, rel. 58
40.59 deg, 2.223 Å, rel. 50